1.
LaZn4Ag4: computed powder diffraction line list (Cu Kα X-rays), based on a PBE-relaxed structure.
Peak positions follow from Bragg's law for the DFT cell and can differ from measured ones.

Top 12 peaks for 10 to 90 degrees two-theta, sorted by position:
d_spacing, intensity
6.159, 12
3.001, 51
2.754, 50
2.471, 47
2.354, 45
2.149, 100
1.790, 27
1.708, 18
1.383, 18
1.370, 11
1.316, 19
1.307, 13

Structure:
```
LaZn4Ag4
1.0
-4.3552 4.3552 2.3543
4.3552 -4.3552 2.3543
4.3552 4.3552 -2.3543
La Zn Ag
1 4 4
Direct
0.0000 0.0000 0.0000
0.2725 0.3753 0.6477
0.3753 0.7275 0.1028
0.6247 0.2725 0.8972
0.7275 0.6247 0.3523
0.0943 0.6279 0.7222
0.3721 0.0943 0.4663
0.6279 0.9057 0.5337
0.9057 0.3721 0.2778
```

***

2.
LaZnAg2: computed powder diffraction line list (Cu Kα X-rays), based on a PBE-relaxed structure.
Peak positions follow from Bragg's law for the DFT cell and can differ from measured ones.

Top 12 peaks for 10 to 90 degrees two-theta, sorted by position:
d_spacing, intensity
3.381, 7
2.809, 30
2.723, 100
2.303, 26
2.223, 27
2.076, 9
1.946, 16
1.781, 15
1.486, 13
1.464, 14
1.398, 12
1.228, 12

Structure:
```
LaZnAg2
1.0
3.8918 0.0000 0.0000
0.0000 20.2994 0.0000
0.0000 0.0000 4.6067
La Zn Ag
4 4 8
Direct
0.0000 0.1042 0.2500
0.0000 0.8958 0.7500
0.5000 0.3958 0.7500
0.5000 0.6042 0.2500
0.0000 0.3309 0.2500
0.0000 0.6691 0.7500
0.5000 0.1691 0.7500
0.5000 0.8309 0.2500
0.0000 0.2588 0.7500
0.0000 0.4619 0.2500
0.0000 0.5381 0.7500
0.0000 0.7412 0.2500
0.5000 0.0381 0.7500
0.5000 0.2412 0.2500
0.5000 0.7588 0.7500
0.5000 0.9619 0.2500
```

***

3.
La4ZnAg: computed powder diffraction line list (Cu Kα X-rays), based on a PBE-relaxed structure.
Peak positions follow from Bragg's law for the DFT cell and can differ from measured ones.

Top 12 peaks for 10 to 90 degrees two-theta, sorted by position:
d_spacing, intensity
3.653, 9
2.828, 100
2.699, 49
2.106, 13
2.052, 7
1.908, 18
1.660, 14
1.632, 9
1.582, 36
1.414, 11
1.218, 10
1.207, 8

Structure:
```
La4ZnAg
1.0
3.8165 0.0000 0.0000
0.0000 3.8165 0.0000
0.0000 0.0000 12.6351
La Zn Ag
4 1 1
Direct
0.0000 0.0000 0.1430
0.0000 0.0000 0.8570
0.5000 0.5000 0.3505
0.5000 0.5000 0.6495
0.5000 0.5000 0.0000
0.0000 0.0000 0.5000
```

***

4.
La2Zn5Ag3: computed powder diffraction line list (Cu Kα X-rays), based on a PBE-relaxed structure.
Peak positions follow from Bragg's law for the DFT cell and can differ from measured ones.

Top 12 peaks for 10 to 90 degrees two-theta, sorted by position:
d_spacing, intensity
3.343, 20
2.936, 12
2.833, 54
2.769, 100
2.572, 57
2.389, 43
2.206, 75
2.135, 13
1.798, 28
1.661, 19
1.468, 13
1.359, 11

Structure:
```
La2Zn5Ag3
1.0
6.0852 -6.6869 0.0000
6.0852 6.6869 0.0000
-2.8273 0.0000 5.1475
La Zn Ag
4 10 6
Direct
0.0909 0.3566 0.2254
0.3566 0.0909 0.7254
0.6434 0.9091 0.2746
0.9091 0.6434 0.7746
0.9996 0.0004 0.2500
0.0004 0.9996 0.7500
0.2325 0.4426 0.8383
0.2954 0.7046 0.7500
0.2960 0.7040 0.2500
0.4426 0.2325 0.3383
0.5574 0.7675 0.6617
0.7040 0.2960 0.7500
0.7046 0.2954 0.2500
0.7675 0.5574 0.1617
0.0498 0.7552 0.4011
0.2448 0.9502 0.0989
0.5001 0.4999 0.2500
0.4999 0.5001 0.7500
0.7552 0.0498 0.9011
0.9502 0.2448 0.5989
```

***

5.
La3ZnAg: computed powder diffraction line list (Cu Kα X-rays), based on a PBE-relaxed structure.
Peak positions follow from Bragg's law for the DFT cell and can differ from measured ones.

Top 12 peaks for 10 to 90 degrees two-theta, sorted by position:
d_spacing, intensity
3.751, 6
3.336, 4
2.763, 100
2.700, 52
2.099, 4
2.002, 7
1.909, 19
1.608, 14
1.571, 35
1.382, 8
1.213, 7
1.208, 8

Structure:
```
La3ZnAg
1.0
2.6979 -10.0081 0.0000
2.6979 10.0081 0.0000
0.0000 0.0000 5.4048
La Zn Ag
6 2 2
Direct
0.0622 0.9378 0.7500
0.2489 0.7511 0.7500
0.4340 0.5660 0.7500
0.5660 0.4340 0.2500
0.7511 0.2489 0.2500
0.9378 0.0622 0.2500
0.1526 0.8474 0.2500
0.8474 0.1526 0.7500
0.3445 0.6555 0.2500
0.6555 0.3445 0.7500
```

***

6.
La4Zn2Ag3: computed powder diffraction line list (Cu Kα X-rays), based on a PBE-relaxed structure.
Peak positions follow from Bragg's law for the DFT cell and can differ from measured ones.

Top 12 peaks for 10 to 90 degrees two-theta, sorted by position:
d_spacing, intensity
3.327, 13
2.649, 92
2.619, 100
1.862, 32
1.535, 9
1.518, 32
1.512, 18
1.324, 6
1.310, 11
1.182, 8
1.174, 14
1.109, 6

Structure:
```
La4Zn2Ag3
1.0
5.2383 0.0000 0.0000
-2.6192 4.5365 0.0000
0.0000 0.0000 9.7867
La Zn Ag
4 2 3
Direct
0.0000 0.0000 0.1579
0.0000 0.0000 0.8421
0.3333 0.6667 0.3881
0.6667 0.3333 0.6119
0.3333 0.6667 0.7202
0.6667 0.3333 0.2798
0.0000 0.0000 0.5000
0.3333 0.6667 0.0050
0.6667 0.3333 0.9950
```

***

7.
LaZrAg2: computed powder diffraction line list (Cu Kα X-rays), based on a PBE-relaxed structure.
Peak positions follow from Bragg's law for the DFT cell and can differ from measured ones.

Top 12 peaks for 10 to 90 degrees two-theta, sorted by position:
d_spacing, intensity
3.232, 7
2.576, 100
2.541, 57
2.032, 7
1.797, 20
1.769, 6
1.494, 11
1.474, 34
1.288, 6
1.271, 6
1.140, 7
1.137, 9

Structure:
```
LaZrAg2
1.0
3.5942 0.0000 0.0000
0.0000 3.5942 0.0000
0.0000 0.0000 7.3899
La Zr Ag
1 1 2
Direct
0.0000 0.0000 0.0000
0.5000 0.5000 0.3128
0.0000 0.0000 0.5222
0.5000 0.5000 0.7206
```

***

8.
LaZr4Ag: computed powder diffraction line list (Cu Kα X-rays), based on a PBE-relaxed structure.
Peak positions follow from Bragg's law for the DFT cell and can differ from measured ones.

Top 12 peaks for 10 to 90 degrees two-theta, sorted by position:
d_spacing, intensity
2.986, 37
2.546, 100
2.438, 31
2.111, 2
1.724, 14
1.625, 33
1.493, 27
1.335, 6
1.288, 11
1.273, 11
1.129, 7
1.100, 21

Structure:
```
LaZr4Ag
1.0
0.0000 4.2229 4.2229
4.2229 0.0000 4.2229
4.2229 4.2229 0.0000
La Zr Ag
1 4 1
Direct
0.0000 0.0000 0.0000
0.1217 0.6261 0.6261
0.6261 0.1217 0.6261
0.6261 0.6261 0.1217
0.6261 0.6261 0.6261
0.2500 0.2500 0.2500
```

***

9.
LaZrAg2: computed powder diffraction line list (Cu Kα X-rays), based on a PBE-relaxed structure.
Peak positions follow from Bragg's law for the DFT cell and can differ from measured ones.

Top 12 peaks for 10 to 90 degrees two-theta, sorted by position:
d_spacing, intensity
2.579, 51
2.563, 100
1.824, 18
1.801, 8
1.486, 35
1.476, 17
1.291, 3
1.288, 3
1.281, 11
1.154, 4
1.152, 11
1.140, 7

Structure:
```
LaZrAg2
1.0
3.6014 0.0000 0.0000
0.0000 5.1535 0.0000
0.0000 0.0000 5.1638
La Zr Ag
1 1 2
Direct
0.0000 0.0000 0.0000
0.0000 0.5000 0.5000
0.5000 0.0000 0.5000
0.5000 0.5000 0.0000
```

***

10.
LiAg8: computed powder diffraction line list (Cu Kα X-rays), based on a PBE-relaxed structure.
Peak positions follow from Bragg's law for the DFT cell and can differ from measured ones.

Top 12 peaks for 10 to 90 degrees two-theta, sorted by position:
d_spacing, intensity
6.202, 6
4.385, 3
3.710, 5
2.833, 5
2.379, 100
2.067, 32
2.047, 16
1.462, 10
1.455, 20
1.245, 23
1.237, 11
1.190, 10

Structure:
```
LiAg8
1.0
-4.3851 4.3851 2.0475
4.3851 -4.3851 2.0475
4.3851 4.3851 -2.0475
Li Ag
1 8
Direct
0.0000 0.0000 0.0000
0.0000 0.3313 0.3313
0.0000 0.6687 0.6687
0.3313 0.0000 0.3313
0.3357 0.3357 0.6713
0.3357 0.6643 0.0000
0.6643 0.3357 0.0000
0.6643 0.6643 0.3287
0.6687 0.0000 0.6687
```

***

11.
Li4Ag: computed powder diffraction line list (Cu Kα X-rays), based on a PBE-relaxed structure.
Peak positions follow from Bragg's law for the DFT cell and can differ from measured ones.

Top 12 peaks for 10 to 90 degrees two-theta, sorted by position:
d_spacing, intensity
4.670, 78
3.895, 100
3.753, 45
3.523, 38
3.449, 72
2.678, 36
2.345, 19
2.336, 32
2.296, 36
2.271, 35
2.099, 18
2.090, 18

Structure:
```
Li4Ag
1.0
7.9163 0.0000 0.0000
0.0000 4.6749 0.0000
-2.3916 0.0000 4.6700
Li Ag
8 2
Direct
0.1068 0.0000 0.3197
0.1969 0.5000 0.0945
0.3031 0.0000 0.9055
0.3932 0.5000 0.6803
0.6068 0.5000 0.3197
0.6969 0.0000 0.0945
0.8031 0.5000 0.9055
0.8932 0.0000 0.6803
0.0000 0.5000 0.5000
0.5000 0.0000 0.5000
```

***

12.
LiAg15: computed powder diffraction line list (Cu Kα X-rays), based on a PBE-relaxed structure.
Peak positions follow from Bragg's law for the DFT cell and can differ from measured ones.

Top 12 peaks for 10 to 90 degrees two-theta, sorted by position:
d_spacing, intensity
4.487, 3
2.545, 24
2.377, 26
2.244, 100
1.737, 15
1.469, 16
1.345, 18
1.272, 3
1.250, 19
1.229, 13
1.189, 3
1.122, 3

Structure:
```
LiAg15
1.0
5.8768 0.0000 0.0000
-2.9384 5.0894 0.0000
0.0000 0.0000 9.5087
Li Ag
1 15
Direct
0.0000 0.0000 0.0000
0.0000 0.0000 0.5000
0.9998 0.4999 0.0000
0.0001 0.5000 0.5000
0.3308 0.1654 0.2478
0.3308 0.1654 0.7522
0.3333 0.6667 0.2487
0.3333 0.6667 0.7513
0.5001 0.0002 0.0000
0.5000 0.9999 0.5000
0.5001 0.4999 0.0000
0.5000 0.5000 0.5000
0.8346 0.1654 0.2478
0.8346 0.1654 0.7522
0.8346 0.6692 0.2478
0.8346 0.6692 0.7522
```